1.
Computed PXRD pattern
Compound: SrNbO3
Radiation: a wavelength of 1.5418 Å
Structure: a cell relaxed with GGA-PBE

Top 12 peaks for 10° ≤ 2θ ≤ 80°, by angle:
- 30.92 deg, intensity 100
- 31.17 deg, intensity 52
- 38.22 deg, intensity 3
- 43.92 deg, intensity 18
- 44.67 deg, intensity 33
- 54.83 deg, intensity 21
- 55.31 deg, intensity 41
- 64.43 deg, intensity 20
- 65.01 deg, intensity 9
- 72.63 deg, intensity 9
- 73.72 deg, intensity 8
- 73.86 deg, intensity 10

a = 5.7382 Å, b = 5.7382 Å, c = 4.1233 Å
α = 90.00°, β = 90.00°, γ = 90.00°
Positions (direct):
Sr1 0.0000 0.5000 0.0000
Sr2 0.5000 0.0000 0.0000
Nb1 0.0000 0.0000 0.5000
Nb2 0.5000 0.5000 0.5000
O1 0.0000 0.0000 0.0000
O2 0.2138 0.2862 0.5000
O3 0.2862 0.7862 0.5000
O4 0.5000 0.5000 0.0000
O5 0.7138 0.2138 0.5000
O6 0.7862 0.7138 0.5000

2.
Computed PXRD pattern
Compound: Sm3EuOs
Radiation: a wavelength of 1.5418 Å
Structure: a cell relaxed with GGA-PBE

Top 12 peaks for 10° ≤ 2θ ≤ 80°, by angle:
- 15.84 deg, intensity 30
- 22.47 deg, intensity 27
- 27.61 deg, intensity 54
- 31.99 deg, intensity 100
- 35.89 deg, intensity 16
- 39.45 deg, intensity 13
- 45.87 deg, intensity 74
- 54.38 deg, intensity 25
- 57.01 deg, intensity 26
- 66.88 deg, intensity 12
- 73.81 deg, intensity 10
- 76.07 deg, intensity 33

a = 5.5957 Å, b = 5.5957 Å, c = 5.5957 Å
α = 90.00°, β = 90.00°, γ = 90.00°
Positions (direct):
Sm1 0.0000 0.0000 0.5000
Sm2 0.0000 0.5000 0.0000
Sm3 0.5000 0.0000 0.0000
Eu1 0.5000 0.5000 0.5000
Os1 0.0000 0.0000 0.0000

3.
Computed PXRD pattern
Compound: DyGeCl5
Radiation: a wavelength of 1.5418 Å
Structure: a cell relaxed with GGA-PBE

Top 12 peaks for 10° ≤ 2θ ≤ 80°, by angle:
- 13.69 deg, intensity 61
- 18.35 deg, intensity 27
- 18.84 deg, intensity 100
- 20.42 deg, intensity 69
- 29.55 deg, intensity 49
- 32.24 deg, intensity 23
- 33.22 deg, intensity 41
- 39.31 deg, intensity 24
- 41.91 deg, intensity 31
- 42.26 deg, intensity 20
- 45.05 deg, intensity 30
- 54.49 deg, intensity 27

a = 7.0371 Å, b = 7.0371 Å, c = 10.2420 Å
α = 108.83°, β = 108.83°, γ = 86.81°
Positions (direct):
Dy1 0.0000 0.5000 0.0000
Dy2 0.5000 0.0000 0.5000
Ge1 0.0833 0.9167 0.7500
Ge2 0.9167 0.0833 0.2500
Cl1 0.1695 0.6339 0.8454
Cl2 0.2137 0.2537 0.4992
Cl3 0.2490 0.7510 0.2500
Cl4 0.2537 0.2137 0.9992
Cl5 0.3661 0.8305 0.6546
Cl6 0.6339 0.1695 0.3454
Cl7 0.7463 0.7863 0.0008
Cl8 0.7510 0.2490 0.7500
Cl9 0.7863 0.7463 0.5008
Cl10 0.8305 0.3661 0.1546

4.
Computed PXRD pattern
Compound: TbHo5Zn6
Radiation: a wavelength of 1.5418 Å
Structure: a cell relaxed with GGA-PBE

Top 12 peaks for 10° ≤ 2θ ≤ 80°, by angle:
- 24.95 deg, intensity 6
- 25.06 deg, intensity 12
- 35.68 deg, intensity 100
- 44.08 deg, intensity 6
- 51.19 deg, intensity 6
- 51.43 deg, intensity 12
- 57.82 deg, intensity 3
- 58.01 deg, intensity 5
- 63.99 deg, intensity 12
- 64.15 deg, intensity 24
- 75.51 deg, intensity 7
- 75.71 deg, intensity 4

a = 7.9476 Å, b = 7.9476 Å, c = 7.1380 Å
α = 90.00°, β = 90.00°, γ = 143.15°
Positions (direct):
Tb1 0.0000 0.0000 0.0000
Ho1 0.0000 0.0000 0.5000
Ho2 0.3328 0.6672 0.0000
Ho3 0.3339 0.6661 0.5000
Ho4 0.6661 0.3339 0.5000
Ho5 0.6672 0.3328 0.0000
Zn1 0.1674 0.8326 0.2517
Zn2 0.1674 0.8326 0.7483
Zn3 0.5000 0.5000 0.2514
Zn4 0.5000 0.5000 0.7486
Zn5 0.8326 0.1674 0.2517
Zn6 0.8326 0.1674 0.7483

5.
Computed PXRD pattern
Compound: TiVW4
Radiation: a wavelength of 1.5418 Å
Structure: a cell relaxed with GGA-PBE

Top 12 peaks for 10° ≤ 2θ ≤ 80°, by angle:
- 23.13 deg, intensity 39
- 40.32 deg, intensity 100
- 40.59 deg, intensity 60
- 40.71 deg, intensity 30
- 52.97 deg, intensity 7
- 58.46 deg, intensity 11
- 58.64 deg, intensity 22
- 73.10 deg, intensity 18
- 73.66 deg, intensity 11
- 73.71 deg, intensity 16
- 73.83 deg, intensity 11
- 74.01 deg, intensity 10

a = 5.2238 Å, b = 5.2238 Å, c = 5.4991 Å
α = 121.68°, β = 121.68°, γ = 50.21°
Positions (direct):
Ti1 0.0000 0.0000 0.0000
V1 0.0000 0.0000 0.5000
W1 0.3297 0.3297 0.6603
W2 0.3365 0.3365 0.1667
W3 0.6635 0.6635 0.8333
W4 0.6703 0.6703 0.3397

6.
Computed PXRD pattern
Compound: SmZn2Ag8
Radiation: a wavelength of 1.5418 Å
Structure: a cell relaxed with GGA-PBE

Top 12 peaks for 10° ≤ 2θ ≤ 80°, by angle:
- 28.38 deg, intensity 21
- 35.12 deg, intensity 98
- 35.38 deg, intensity 100
- 35.89 deg, intensity 20
- 37.28 deg, intensity 23
- 37.75 deg, intensity 59
- 38.68 deg, intensity 99
- 39.46 deg, intensity 51
- 40.81 deg, intensity 59
- 47.50 deg, intensity 25
- 53.83 deg, intensity 24
- 73.71 deg, intensity 24

a = 7.3590 Å, b = 7.3590 Å, c = 4.9147 Å
α = 103.95°, β = 103.95°, γ = 115.39°
Positions (direct):
Sm1 0.0000 0.0000 0.0000
Zn1 0.3121 0.6879 0.5000
Zn2 0.6879 0.3121 0.5000
Ag1 0.0802 0.3243 0.6250
Ag2 0.2373 0.7627 0.0000
Ag3 0.3243 0.0802 0.6250
Ag4 0.4209 0.4209 0.1906
Ag5 0.5791 0.5791 0.8094
Ag6 0.6757 0.9198 0.3750
Ag7 0.7627 0.2373 0.0000
Ag8 0.9198 0.6757 0.3750

7.
Computed PXRD pattern
Compound: Cs2LiCrI6
Radiation: a wavelength of 1.5418 Å
Structure: a cell relaxed with GGA-PBE

Top 12 peaks for 10° ≤ 2θ ≤ 80°, by angle:
- 13.15 deg, intensity 7
- 26.49 deg, intensity 100
- 30.68 deg, intensity 65
- 40.20 deg, intensity 4
- 43.94 deg, intensity 46
- 52.04 deg, intensity 44
- 54.54 deg, intensity 16
- 56.36 deg, intensity 3
- 61.06 deg, intensity 2
- 63.88 deg, intensity 7
- 70.41 deg, intensity 17
- 72.53 deg, intensity 19

a = 8.2432 Å, b = 8.2432 Å, c = 8.2432 Å
α = 60.00°, β = 60.00°, γ = 60.00°
Positions (direct):
Cs1 0.2500 0.2500 0.2500
Cs2 0.7500 0.7500 0.7500
Li1 0.0000 0.0000 0.0000
Cr1 0.5000 0.5000 0.5000
I1 0.2620 0.2620 0.7380
I2 0.2620 0.7380 0.2620
I3 0.2620 0.7380 0.7380
I4 0.7380 0.2620 0.2620
I5 0.7380 0.2620 0.7380
I6 0.7380 0.7380 0.2620

8.
Computed PXRD pattern
Compound: Te2Pd3
Radiation: a wavelength of 1.5418 Å
Structure: a cell relaxed with GGA-PBE

Top 12 peaks for 10° ≤ 2θ ≤ 80°, by angle:
- 26.23 deg, intensity 21
- 27.79 deg, intensity 19
- 30.95 deg, intensity 58
- 32.71 deg, intensity 35
- 36.41 deg, intensity 29
- 38.40 deg, intensity 100
- 41.50 deg, intensity 73
- 43.63 deg, intensity 54
- 46.35 deg, intensity 43
- 48.20 deg, intensity 29
- 69.10 deg, intensity 19
- 73.76 deg, intensity 34

a = 6.7119 Å, b = 6.7119 Å, c = 8.0186 Å
α = 90.00°, β = 90.00°, γ = 146.06°
Positions (direct):
Te1 0.0000 0.0000 0.0000
Te2 0.0000 0.0000 0.5000
Te3 0.2574 0.7426 0.7500
Te4 0.7426 0.2574 0.2500
Pd1 0.3373 0.6627 0.0663
Pd2 0.3373 0.6627 0.4337
Pd3 0.4655 0.5345 0.7500
Pd4 0.5345 0.4655 0.2500
Pd5 0.6627 0.3373 0.5663
Pd6 0.6627 0.3373 0.9337